(1)
Theoretical X-ray diffraction stick pattern
Compound: KMg14TiO16
Radiation: Cu Kα (weighted mean of Kα1 and Kα2)
Structure: a crystal structure in the Materials Project, relaxed with PBE

Atomic structure:
abc: 4.4009 8.6080 8.6554
angles: 90.00 90.00 90.00
Fractional coordinates of all 32 atoms:
K 0.0000 0.0000 0.0000
Mg 0.0000 0.0000 0.5000
Mg 0.0000 0.2469 0.2568
Mg 0.0000 0.2469 0.7432
Mg 0.0000 0.5000 0.5000
Mg 0.0000 0.7531 0.2568
Mg 0.0000 0.7531 0.7432
Mg 0.5000 0.0000 0.2521
Mg 0.5000 0.0000 0.7479
Mg 0.5000 0.2448 0.0000
Mg 0.5000 0.2484 0.5000
Mg 0.5000 0.5000 0.2523
Mg 0.5000 0.5000 0.7477
Mg 0.5000 0.7516 0.5000
Mg 0.5000 0.7552 0.0000
Ti 0.0000 0.5000 0.0000
O 0.0000 0.0000 0.2749
O 0.0000 0.0000 0.7251
O 0.0000 0.2572 0.5000
O 0.0000 0.2776 0.0000
O 0.0000 0.5000 0.2511
O 0.0000 0.5000 0.7489
O 0.0000 0.7224 0.0000
O 0.0000 0.7428 0.5000
O 0.5000 0.0000 0.0000
O 0.5000 0.0000 0.5000
O 0.5000 0.2507 0.2484
O 0.5000 0.2507 0.7516
O 0.5000 0.5000 0.0000
O 0.5000 0.5000 0.5000
O 0.5000 0.7493 0.2484
O 0.5000 0.7493 0.7516

Largest 10 diffraction maxima, in order of rising 2θ, 2θ from 10° to 80°:
- 35.8 deg, I 41
- 41.0 deg, I 100
- 41.7 deg, I 92
- 42.0 deg, I 91
- 60.0 deg, I 54
- 60.1 deg, I 53
- 60.7 deg, I 51
- 72.3 deg, I 9
- 72.7 deg, I 9
- 75.9 deg, I 47


(2)
Theoretical X-ray diffraction stick pattern
Compound: KMg14TiO16
Radiation: Cu Kα (weighted mean of Kα1 and Kα2)
Structure: a crystal structure in the Materials Project, relaxed with PBE

Atomic structure:
abc: 8.6459 8.6459 4.3746
angles: 90.00 90.00 90.00
Fractional coordinates of all 32 atoms:
K 0.0000 0.0000 0.0000
Mg 0.0000 0.2494 0.5000
Mg 0.0000 0.5000 0.0000
Mg 0.0000 0.7506 0.5000
Mg 0.2447 0.5000 0.5000
Mg 0.2461 0.2461 0.0000
Mg 0.2461 0.7539 0.0000
Mg 0.2494 0.0000 0.5000
Mg 0.5000 0.0000 0.0000
Mg 0.5000 0.2447 0.5000
Mg 0.5000 0.7553 0.5000
Mg 0.7506 0.0000 0.5000
Mg 0.7539 0.2461 0.0000
Mg 0.7539 0.7539 0.0000
Mg 0.7553 0.5000 0.5000
Ti 0.5000 0.5000 0.0000
O 0.0000 0.0000 0.5000
O 0.0000 0.2758 0.0000
O 0.0000 0.5000 0.5000
O 0.0000 0.7242 0.0000
O 0.2518 0.2518 0.5000
O 0.2518 0.7482 0.5000
O 0.2607 0.5000 0.0000
O 0.2758 0.0000 0.0000
O 0.5000 0.0000 0.5000
O 0.5000 0.2607 0.0000
O 0.5000 0.5000 0.5000
O 0.5000 0.7393 0.0000
O 0.7242 0.0000 0.0000
O 0.7393 0.5000 0.0000
O 0.7482 0.2518 0.5000
O 0.7482 0.7482 0.5000

Largest 10 diffraction maxima, in order of rising 2θ, 2θ from 10° to 80°:
- 14.5 deg, I 3
- 20.5 deg, I 2
- 35.8 deg, I 23
- 41.3 deg, I 53
- 41.8 deg, I 100
- 60.2 deg, I 58
- 60.6 deg, I 28
- 71.7 deg, I 5
- 72.4 deg, I 10
- 76.0 deg, I 25


(3)
Theoretical X-ray diffraction stick pattern
Compound: KYMg6O8
Radiation: Cu Kα (weighted mean of Kα1 and Kα2)
Structure: a crystal structure in the Materials Project, relaxed with PBE

Atomic structure:
abc: 4.5354 4.5354 9.1096
angles: 90.00 90.00 90.00
Fractional coordinates of all 16 atoms:
K 0.0000 0.0000 0.0000
Y 0.0000 0.0000 0.5000
Mg 0.0000 0.5000 0.2298
Mg 0.0000 0.5000 0.7702
Mg 0.5000 0.0000 0.2298
Mg 0.5000 0.0000 0.7702
Mg 0.5000 0.5000 0.0000
Mg 0.5000 0.5000 0.5000
O 0.0000 0.0000 0.2622
O 0.0000 0.0000 0.7378
O 0.0000 0.5000 0.0000
O 0.0000 0.5000 0.5000
O 0.5000 0.0000 0.0000
O 0.5000 0.0000 0.5000
O 0.5000 0.5000 0.2520
O 0.5000 0.5000 0.7480

Largest 10 diffraction maxima, in order of rising 2θ, 2θ from 10° to 80°:
- 19.5 deg, I 38
- 21.9 deg, I 15
- 27.8 deg, I 30
- 34.2 deg, I 39
- 39.6 deg, I 47
- 39.7 deg, I 100
- 57.3 deg, I 55
- 57.5 deg, I 30
- 68.6 deg, I 14
- 72.0 deg, I 25


(4)
Theoretical X-ray diffraction stick pattern
Compound: KYMg6O8
Radiation: Cu Kα (weighted mean of Kα1 and Kα2)
Structure: a crystal structure in the Materials Project, relaxed with PBE

Atomic structure:
abc: 4.5444 4.5444 8.9236
angles: 90.00 90.00 90.00
Fractional coordinates of all 16 atoms:
K 0.0000 0.0000 0.0000
Y 0.5000 0.5000 0.0000
Mg 0.0000 0.0000 0.5000
Mg 0.0000 0.5000 0.2674
Mg 0.0000 0.5000 0.7326
Mg 0.5000 0.0000 0.2674
Mg 0.5000 0.0000 0.7326
Mg 0.5000 0.5000 0.5000
O 0.0000 0.0000 0.2785
O 0.0000 0.0000 0.7215
O 0.0000 0.5000 0.0000
O 0.0000 0.5000 0.5000
O 0.5000 0.0000 0.0000
O 0.5000 0.0000 0.5000
O 0.5000 0.5000 0.2612
O 0.5000 0.5000 0.7388

Largest 10 diffraction maxima, in order of rising 2θ, 2θ from 10° to 80°:
- 19.9 deg, I 13
- 21.9 deg, I 16
- 29.5 deg, I 18
- 34.4 deg, I 40
- 39.7 deg, I 100
- 40.4 deg, I 43
- 57.3 deg, I 30
- 57.9 deg, I 52
- 68.6 deg, I 14
- 72.5 deg, I 24


(5)
Theoretical X-ray diffraction stick pattern
Compound: K2MgTi2P2S10
Radiation: Cu Kα (weighted mean of Kα1 and Kα2)
Structure: a crystal structure in the Materials Project, relaxed with PBE

Atomic structure:
abc: 6.5213 7.2177 9.8472
angles: 111.28 96.72 90.44
Fractional coordinates of all 17 atoms:
K 0.0000 0.0000 0.0000
K 0.4459 0.4447 0.8916
Mg 0.7285 0.7226 0.4466
Ti 0.2295 0.0160 0.4486
Ti 0.2310 0.4292 0.4433
P 0.0130 0.5941 0.1881
P 0.4424 0.8513 0.7044
S 0.0831 0.2941 0.5934
S 0.1335 0.8066 0.6141
S 0.3239 0.6355 0.2731
S 0.3766 0.1507 0.2980
S 0.4811 0.9614 0.9232
S 0.5720 0.0314 0.6067
S 0.5728 0.5767 0.6115
S 0.8862 0.8701 0.2831
S 0.8870 0.4144 0.2876
S 0.9656 0.4839 0.9694

Largest 10 diffraction maxima, in order of rising 2θ, 2θ from 10° to 80°:
- 13.7 deg, I 52
- 15.8 deg, I 100
- 24.7 deg, I 58
- 26.6 deg, I 59
- 29.4 deg, I 36
- 30.5 deg, I 87
- 33.4 deg, I 74
- 33.7 deg, I 75
- 49.4 deg, I 37
- 50.6 deg, I 32


(6)
Theoretical X-ray diffraction stick pattern
Compound: KRbMg14
Radiation: Cu Kα (weighted mean of Kα1 and Kα2)
Structure: a crystal structure in the Materials Project, relaxed with PBE

Atomic structure:
abc: 11.1065 6.7754 6.7754
angles: 57.30 90.00 90.00
Fractional coordinates of all 16 atoms:
K 0.0000 0.0000 0.0000
Rb 0.0000 0.5009 0.5009
Mg 0.0000 0.0001 0.5004
Mg 0.0000 0.5004 0.0001
Mg 0.2593 0.1737 0.1737
Mg 0.2633 0.6751 0.6751
Mg 0.2805 0.1619 0.6635
Mg 0.2805 0.6635 0.1619
Mg 0.5000 0.0004 0.4995
Mg 0.5000 0.0062 0.0062
Mg 0.5000 0.4995 0.0004
Mg 0.5000 0.5058 0.5058
Mg 0.7195 0.1619 0.6635
Mg 0.7195 0.6635 0.1619
Mg 0.7367 0.6751 0.6751
Mg 0.7407 0.1737 0.1737

Largest 10 diffraction maxima, in order of rising 2θ, 2θ from 10° to 80°:
- 30.1 deg, I 15
- 31.4 deg, I 25
- 32.2 deg, I 38
- 34.2 deg, I 54
- 35.4 deg, I 100
- 45.6 deg, I 17
- 54.2 deg, I 19
- 59.5 deg, I 17
- 64.5 deg, I 20
- 67.9 deg, I 14